For Mg3HIr4, a structure optimized by DFT (GGA-PBE) gives the computed X-ray powder pattern in this record (Cu Kα X-rays).
Intensities are scaled so that the largest is 100.

Structure:
```
data_Mg3HIr4
_cell_length_a 5.595
_cell_length_b 5.595
_cell_length_c 4.429
_cell_angle_alpha 90.00
_cell_angle_beta 90.00
_cell_angle_gamma 120.00
_symmetry_space_group_name_H-M 'P 1'
_symmetry_Int_Tables_number 1
loop_
_symmetry_equiv_pos_as_xyz
'x,y,z'
loop_
_atom_site_label
_atom_site_type_symbol
_atom_site_fract_x
_atom_site_fract_y
_atom_site_fract_z
Mg1 Mg 0.035 0.363 0.000
Mg2 Mg 0.329 0.965 0.000
Mg3 Mg 0.637 0.671 0.000
H1 H 0.667 0.333 0.653
Ir1 Ir 0.315 0.197 0.498
Ir2 Ir 0.333 0.667 0.498
Ir3 Ir 0.803 0.118 0.498
Ir4 Ir 0.882 0.685 0.498
```

Most intense lines, 2θ = 10–90°, by angle:
- 2θ 20.05, I = 100
- 2θ 37.11, I = 66
- 2θ 38.04, I = 16
- 2θ 40.74, I = 25
- 2θ 42.53, I = 100
- 2θ 56.28, I = 41
- 2θ 66.89, I = 9
- 2θ 70.61, I = 18
- 2θ 75.39, I = 19
- 2θ 81.36, I = 10

***

For LiHo6Pt5, a structure optimized by DFT (GGA-PBE) gives the computed X-ray powder pattern in this record (Cu Kα X-rays).
Intensities are scaled so that the largest is 100.

Structure:
```
data_LiHo6Pt5
_cell_length_a 8.588
_cell_length_b 8.588
_cell_length_c 8.588
_cell_angle_alpha 146.91
_cell_angle_beta 131.80
_cell_angle_gamma 59.71
_symmetry_space_group_name_H-M 'P 1'
_symmetry_Int_Tables_number 1
loop_
_symmetry_equiv_pos_as_xyz
'x,y,z'
loop_
_atom_site_label
_atom_site_type_symbol
_atom_site_fract_x
_atom_site_fract_y
_atom_site_fract_z
Li1 Li 0.000 0.000 0.000
Ho1 Ho 0.086 0.830 0.256
Ho2 Ho 0.261 0.500 0.761
Ho3 Ho 0.425 0.170 0.256
Ho4 Ho 0.575 0.830 0.744
Ho5 Ho 0.739 0.500 0.239
Ho6 Ho 0.914 0.170 0.744
Pt1 Pt 0.151 0.651 0.500
Pt2 Pt 0.325 0.325 0.000
Pt3 Pt 0.500 0.000 0.500
Pt4 Pt 0.675 0.675 0.000
Pt5 Pt 0.849 0.349 0.500
```

Most intense lines, 2θ = 10–90°, by angle:
- 2θ 36.18, I = 24
- 2θ 36.35, I = 100
- 2θ 36.75, I = 25
- 2θ 52.16, I = 9
- 2θ 52.52, I = 16
- 2θ 65.16, I = 24
- 2θ 65.50, I = 9
- 2θ 65.92, I = 18
- 2θ 77.18, I = 10
- 2θ 88.15, I = 8

***

For Ac4As3S, a structure optimized by DFT (GGA-PBE) gives the computed X-ray powder pattern in this record (Cu Kα X-rays).
Intensities are scaled so that the largest is 100.

Structure:
```
data_Ac4As3S
_cell_length_a 7.779
_cell_length_b 8.991
_cell_length_c 7.792
_cell_angle_alpha 90.00
_cell_angle_beta 109.50
_cell_angle_gamma 90.00
_symmetry_space_group_name_H-M 'P 1'
_symmetry_Int_Tables_number 1
loop_
_symmetry_equiv_pos_as_xyz
'x,y,z'
loop_
_atom_site_label
_atom_site_type_symbol
_atom_site_fract_x
_atom_site_fract_y
_atom_site_fract_z
Ac1 Ac 0.249 0.125 0.000
Ac2 Ac 0.249 0.875 0.500
Ac3 Ac 0.250 0.376 0.500
Ac4 Ac 0.250 0.624 0.000
Ac5 Ac 0.750 0.376 0.000
Ac6 Ac 0.750 0.624 0.500
Ac7 Ac 0.751 0.125 0.500
Ac8 Ac 0.751 0.875 0.000
As1 As 0.000 0.124 0.250
As2 As 0.000 0.373 0.750
As3 As 0.000 0.627 0.250
As4 As 0.000 0.876 0.750
As5 As 0.500 0.373 0.250
As6 As 0.500 0.627 0.750
S1 S 0.500 0.123 0.750
S2 S 0.500 0.877 0.250
```

Most intense lines, 2θ = 10–90°, by angle:
- 2θ 24.25, I = 53
- 2θ 28.07, I = 100
- 2θ 40.12, I = 78
- 2θ 47.43, I = 29
- 2θ 49.68, I = 28
- 2θ 58.04, I = 13
- 2θ 63.81, I = 9
- 2θ 65.69, I = 37
- 2θ 72.88, I = 21
- 2θ 78.11, I = 8

***

For Cs2Hg6BiPb, a structure optimized by DFT (GGA-PBE) gives the computed X-ray powder pattern in this record (Cu Kα X-rays).
Intensities are scaled so that the largest is 100.

Structure:
```
data_Cs2Hg6BiPb
_cell_length_a 7.779
_cell_length_b 7.932
_cell_length_c 8.010
_cell_angle_alpha 64.71
_cell_angle_beta 65.43
_cell_angle_gamma 62.68
_symmetry_space_group_name_H-M 'P 1'
_symmetry_Int_Tables_number 1
loop_
_symmetry_equiv_pos_as_xyz
'x,y,z'
loop_
_atom_site_label
_atom_site_type_symbol
_atom_site_fract_x
_atom_site_fract_y
_atom_site_fract_z
Cs1 Cs 0.093 0.299 0.302
Cs2 Cs 0.907 0.701 0.698
Hg1 Hg 0.359 0.865 0.648
Hg2 Hg 0.362 0.154 0.844
Hg3 Hg 0.377 0.652 0.116
Hg4 Hg 0.623 0.348 0.884
Hg5 Hg 0.638 0.846 0.156
Hg6 Hg 0.641 0.135 0.352
Bi1 Bi 0.500 0.500 0.500
Pb1 Pb 0.000 0.000 0.000
```

Most intense lines, 2θ = 10–90°, by angle:
- 2θ 13.32, I = 100
- 2θ 25.13, I = 90
- 2θ 25.38, I = 83
- 2θ 26.67, I = 69
- 2θ 32.20, I = 56
- 2θ 33.37, I = 49
- 2θ 34.60, I = 62
- 2θ 35.57, I = 80
- 2θ 36.67, I = 46
- 2θ 37.62, I = 58